Calculated powder diffraction line list
Compound: CeSbAu
Radiation: Cu Kα
Structure: a DFT-relaxed cell (PBE, the Materials Project)
Peak positions follow from Bragg's law for the DFT cell and can differ from measured ones.

Peak list (12 most intense, 5 to 70 degrees two-theta, most intense first)
2θ 31.34, I = 100.0, (1 0 2)
2θ 38.15, I = 69.4, (1 1 0)
2θ 60.81, I = 35.5, (1 1 4)
2θ 50.17, I = 26.9, (2 0 2)
2θ 64.73, I = 25.0, (2 1 2)
2θ 45.46, I = 14.1, (0 0 4)
2θ 44.62, I = 13.9, (1 1 2)
2θ 22.28, I = 13.8, (0 0 2)
2θ 68.95, I = 12.2, (3 0 0)
2θ 24.48, I = 8.7, (1 0 1)
2θ 40.46, I = 2.6, (1 0 3)
2θ 45.85, I = 1.9, (2 0 1)

Structural model:
abc: 4.7179 4.7179 7.9803
angles: 90.00 90.00 120.00
Space group P6_3/mmc (No. 194)
Symmetry-distinct sites (fractional):
Ce 0.0000 0.0000 0.0000
Sb 0.3333 0.6667 0.2500
Au 0.3333 0.6667 0.7500